(1)
Theoretical powder X-ray diffraction pattern
Compound: TbAlZn5
Radiation: Cu Ka
Structure: a crystal structure in Alexandria, relaxed with PBE
No peak broadening, texture or thermal motion is included.

Main lines, low angle first (2θ from 15° to 90°):
- 2θ = 21.76°, rel. 30.5
- 2θ = 34.87°, rel. 25.6
- 2θ = 35.39°, rel. 63.2
- 2θ = 36.64°, rel. 99.2
- 2θ = 37.17°, rel. 100.0
- 2θ = 38.91°, rel. 33.3
- 2θ = 40.33°, rel. 25.9
- 2θ = 40.78°, rel. 24.4
- 2θ = 41.69°, rel. 22.2
- 2θ = 43.95°, rel. 25.0
- 2θ = 44.81°, rel. 27.8
- 2θ = 64.04°, rel. 27.6

Crystal structure
a b c (Å): 8.6766 5.1452 10.6044
angles (deg): 90.00 90.00 90.00
Space group Pnma (No. 62)
Inequivalent atoms, fractional coordinates:
Tb1 0.2392 0.2500 0.0615
Al1 0.1416 0.7500 0.8544
Zn1 0.0471 0.7500 0.0901
Zn2 0.0646 0.0095 0.3069
Zn3 0.0829 0.2500 0.5206
Zn4 0.1980 0.2500 0.7494

(2)
Theoretical powder X-ray diffraction pattern
Compound: Tb3Al7Zn4
Radiation: Cu Ka
Structure: a crystal structure in Alexandria, relaxed with PBE
No peak broadening, texture or thermal motion is included.

Main lines, low angle first (2θ from 15° to 90°):
- 2θ = 17.96°, rel. 28.1
- 2θ = 22.88°, rel. 63.5
- 2θ = 23.16°, rel. 14.5
- 2θ = 30.00°, rel. 48.9
- 2θ = 34.53°, rel. 61.7
- 2θ = 34.97°, rel. 100.0
- 2θ = 35.39°, rel. 74.7
- 2θ = 36.38°, rel. 17.5
- 2θ = 42.80°, rel. 39.1
- 2θ = 43.10°, rel. 25.1
- 2θ = 55.94°, rel. 18.5
- 2θ = 62.36°, rel. 16.0

Crystal structure
a b c (Å): 15.8686 4.2260 9.8797
angles (deg): 90.00 127.47 90.00
Space group C2/m (No. 12)
Inequivalent atoms, fractional coordinates:
Tb1 0.0000 0.0000 0.0000
Tb2 0.1838 0.5000 0.6883
Al1 0.0000 0.0000 0.5000
Al2 0.0061 0.5000 0.2916
Al3 0.1560 0.0000 0.4229
Al4 0.1692 0.5000 0.0282
Zn1 0.1301 0.0000 0.8527
Zn2 0.1585 0.5000 0.2722

(3)
Theoretical powder X-ray diffraction pattern
Compound: TbAl4Zn
Radiation: Cu Ka
Structure: a crystal structure in Alexandria, relaxed with PBE
No peak broadening, texture or thermal motion is included.

Main lines, low angle first (2θ from 15° to 90°):
- 2θ = 22.25°, rel. 12.1
- 2θ = 28.05°, rel. 18.2
- 2θ = 30.89°, rel. 46.7
- 2θ = 36.93°, rel. 100.0
- 2θ = 42.64°, rel. 16.1
- 2θ = 42.98°, rel. 16.4
- 2θ = 43.09°, rel. 16.3
- 2θ = 52.16°, rel. 13.1
- 2θ = 62.19°, rel. 20.6
- 2θ = 74.30°, rel. 11.5
- 2θ = 74.78°, rel. 13.3
- 2θ = 74.94°, rel. 13.3

Crystal structure
a b c (Å): 4.2088 12.7223 4.1981
angles (deg): 90.00 90.00 90.00
Space group Cmmm (No. 65)
Inequivalent atoms, fractional coordinates:
Tb1 0.0000 0.0000 0.0000
Al1 0.0000 0.1751 0.5000
Al2 0.0000 0.3223 0.0000
Zn1 0.0000 0.5000 0.5000

(4)
Theoretical powder X-ray diffraction pattern
Compound: Tb6AlZn
Radiation: Cu Ka
Structure: a crystal structure in Alexandria, relaxed with PBE
No peak broadening, texture or thermal motion is included.

Main lines, low angle first (2θ from 15° to 90°):
- 2θ = 26.93°, rel. 24.1
- 2θ = 30.73°, rel. 13.1
- 2θ = 32.36°, rel. 100.0
- 2θ = 35.48°, rel. 45.8
- 2θ = 41.38°, rel. 7.6
- 2θ = 47.63°, rel. 15.7
- 2θ = 51.05°, rel. 16.3
- 2θ = 55.62°, rel. 12.7
- 2θ = 58.86°, rel. 13.2
- 2θ = 60.78°, rel. 7.6
- 2θ = 61.75°, rel. 31.2
- 2θ = 67.73°, rel. 7.0

Crystal structure
a b c (Å): 7.1501 7.1615 17.4575
angles (deg): 90.00 90.00 90.00
Space group Fmmm (No. 69)
Inequivalent atoms, fractional coordinates:
Tb1 0.0000 0.0000 0.2485
Tb2 0.2500 0.2500 0.1047
Al1 0.0000 0.0000 0.0000
Zn1 0.0000 0.0000 0.5000

(5)
Theoretical powder X-ray diffraction pattern
Compound: Tb7Al2Zn2
Radiation: Cu Ka
Structure: a crystal structure in Alexandria, relaxed with PBE
No peak broadening, texture or thermal motion is included.

Main lines, low angle first (2θ from 15° to 90°):
- 2θ = 23.86°, rel. 25.2
- 2θ = 26.31°, rel. 27.9
- 2θ = 27.87°, rel. 51.2
- 2θ = 28.61°, rel. 100.0
- 2θ = 32.81°, rel. 59.6
- 2θ = 33.66°, rel. 21.0
- 2θ = 36.46°, rel. 45.4
- 2θ = 37.59°, rel. 86.1
- 2θ = 47.85°, rel. 20.4
- 2θ = 56.02°, rel. 19.4
- 2θ = 57.59°, rel. 18.0
- 2θ = 59.23°, rel. 19.3

Crystal structure
a b c (Å): 7.6038 10.9186 7.4587
angles (deg): 90.00 90.00 90.00
Space group Cmmm (No. 65)
Inequivalent atoms, fractional coordinates:
Tb1 0.0000 0.0000 0.0000
Tb2 0.0000 0.5000 0.2544
Tb3 0.2500 0.2500 0.2821
Al1 0.1702 0.0000 0.5000
Zn1 0.0000 0.2897 0.0000

(6)
Theoretical powder X-ray diffraction pattern
Compound: Tb4AlZn
Radiation: Cu Ka
Structure: a crystal structure in Alexandria, relaxed with PBE
No peak broadening, texture or thermal motion is included.

Main lines, low angle first (2θ from 15° to 90°):
- 2θ = 24.81°, rel. 33.8
- 2θ = 25.29°, rel. 65.0
- 2θ = 35.72°, rel. 100.0
- 2θ = 36.06°, rel. 48.9
- 2θ = 44.27°, rel. 29.3
- 2θ = 51.92°, rel. 17.2
- 2θ = 57.66°, rel. 13.3
- 2θ = 58.37°, rel. 13.0
- 2θ = 58.61°, rel. 13.0
- 2θ = 63.95°, rel. 18.0
- 2θ = 64.62°, rel. 35.4
- 2θ = 75.67°, rel. 11.0

Crystal structure
a b c (Å): 4.9811 4.9811 7.1763
angles (deg): 90.00 90.00 90.00
Space group P4/mmm (No. 123)
Inequivalent atoms, fractional coordinates:
Tb1 0.0000 0.5000 0.2447
Al1 0.0000 0.0000 0.5000
Zn1 0.5000 0.5000 0.0000

(7)
Theoretical powder X-ray diffraction pattern
Compound: Tb6Al2Zn
Radiation: Cu Ka
Structure: a crystal structure in Alexandria, relaxed with PBE
No peak broadening, texture or thermal motion is included.

Main lines, low angle first (2θ from 15° to 90°):
- 2θ = 24.94°, rel. 29.4
- 2θ = 25.10°, rel. 58.0
- 2θ = 35.70°, rel. 100.0
- 2θ = 35.83°, rel. 19.8
- 2θ = 44.12°, rel. 26.0
- 2θ = 51.53°, rel. 14.0
- 2θ = 57.82°, rel. 11.7
- 2θ = 58.08°, rel. 17.4
- 2θ = 64.02°, rel. 14.5
- 2θ = 64.25°, rel. 28.8
- 2θ = 81.10°, rel. 8.9
- 2θ = 86.76°, rel. 9.6

Crystal structure
a b c (Å): 5.0118 7.1410 15.0640
angles (deg): 90.00 90.00 90.00
Space group Immm (No. 71)
Inequivalent atoms, fractional coordinates:
Tb1 0.0000 0.2452 0.0000
Tb2 0.0000 0.2529 0.3348
Al1 0.0000 0.5000 0.1663
Zn1 0.0000 0.5000 0.5000

(8)
Theoretical powder X-ray diffraction pattern
Compound: AlTc2
Radiation: Cu Ka
Structure: a crystal structure in Alexandria, relaxed with PBE
No peak broadening, texture or thermal motion is included.

Main lines, low angle first (2θ from 15° to 90°):
- 2θ = 18.60°, rel. 23.1
- 2θ = 31.37°, rel. 21.2
- 2θ = 41.47°, rel. 100.0
- 2θ = 42.80°, rel. 45.6
- 2θ = 47.04°, rel. 8.1
- 2θ = 57.28°, rel. 5.2
- 2θ = 57.99°, rel. 9.1
- 2θ = 62.14°, rel. 14.7
- 2θ = 71.27°, rel. 3.8
- 2θ = 74.71°, rel. 16.8
- 2θ = 77.48°, rel. 30.4
- 2θ = 89.55°, rel. 3.0

Crystal structure
a b c (Å): 2.9877 2.9877 9.5425
angles (deg): 90.00 90.00 90.00
Space group I4/mmm (No. 139)
Inequivalent atoms, fractional coordinates:
Al1 0.0000 0.0000 0.0000
Tc1 0.0000 0.0000 0.3313

(9)
Theoretical powder X-ray diffraction pattern
Compound: Al6Tc
Radiation: Cu Ka
Structure: a crystal structure in Alexandria, relaxed with PBE
No peak broadening, texture or thermal motion is included.

Main lines, low angle first (2θ from 15° to 90°):
- 2θ = 17.76°, rel. 100.0
- 2θ = 19.70°, rel. 44.4
- 2θ = 23.29°, rel. 32.1
- 2θ = 26.64°, rel. 72.8
- 2θ = 30.69°, rel. 27.6
- 2θ = 39.22°, rel. 43.4
- 2θ = 40.61°, rel. 32.2
- 2θ = 41.34°, rel. 81.8
- 2θ = 42.77°, rel. 37.6
- 2θ = 43.04°, rel. 97.3
- 2θ = 43.99°, rel. 36.1
- 2θ = 44.10°, rel. 62.7

Crystal structure
a b c (Å): 7.6386 6.6012 9.0118
angles (deg): 90.00 90.00 90.00
Space group Cmcm (No. 63)
Inequivalent atoms, fractional coordinates:
Al1 0.0000 0.1336 0.1003
Al2 0.1761 0.5000 0.0000
Al3 0.1810 0.2097 0.7500
Tc1 0.0000 0.4560 0.2500

(10)
Theoretical powder X-ray diffraction pattern
Compound: Al4Tc5
Radiation: Cu Ka
Structure: a crystal structure in Alexandria, relaxed with PBE
No peak broadening, texture or thermal motion is included.

Main lines, low angle first (2θ from 15° to 90°):
- 2θ = 26.72°, rel. 16.1
- 2θ = 29.18°, rel. 56.9
- 2θ = 35.60°, rel. 19.6
- 2θ = 38.18°, rel. 11.1
- 2θ = 39.97°, rel. 37.0
- 2θ = 40.55°, rel. 98.9
- 2θ = 42.89°, rel. 100.0
- 2θ = 60.49°, rel. 34.8
- 2θ = 66.91°, rel. 12.0
- 2θ = 75.38°, rel. 24.3
- 2θ = 82.77°, rel. 11.5
- 2θ = 89.39°, rel. 20.1

Crystal structure
a b c (Å): 7.7063 7.7063 5.0384
angles (deg): 90.00 90.00 120.00
Space group P6_3/mcm (No. 193)
Inequivalent atoms, fractional coordinates:
Al1 0.0000 0.0000 0.0000
Al2 0.0000 0.3814 0.2500
Tc1 0.0000 0.2883 0.7500
Tc2 0.3333 0.6667 0.0000

(11)
Theoretical powder X-ray diffraction pattern
Compound: Al5Tc2
Radiation: Cu Ka
Structure: a crystal structure in Alexandria, relaxed with PBE
No peak broadening, texture or thermal motion is included.

Main lines, low angle first (2θ from 15° to 90°):
- 2θ = 20.21°, rel. 100.0
- 2θ = 34.82°, rel. 25.6
- 2θ = 35.91°, rel. 56.6
- 2θ = 38.43°, rel. 45.5
- 2θ = 38.60°, rel. 41.0
- 2θ = 42.47°, rel. 38.2
- 2θ = 42.65°, rel. 72.4
- 2θ = 42.91°, rel. 79.2
- 2θ = 43.66°, rel. 75.4
- 2θ = 47.26°, rel. 22.8
- 2θ = 71.13°, rel. 24.9
- 2θ = 80.98°, rel. 23.5

Crystal structure
a b c (Å): 16.7933 4.5565 5.7120
angles (deg): 90.00 97.69 90.00
Space group C2/c (No. 15)
Inequivalent atoms, fractional coordinates:
Al1 0.0000 0.0851 0.2500
Al2 0.1334 0.0833 0.5931
Al3 0.2012 0.4209 0.2462
Tc1 0.0688 0.4126 0.9271

(12)
Theoretical powder X-ray diffraction pattern
Compound: Th4AlTc
Radiation: Cu Ka
Structure: a crystal structure in Alexandria, relaxed with PBE
No peak broadening, texture or thermal motion is included.

Main lines, low angle first (2θ from 15° to 90°):
- 2θ = 24.27°, rel. 7.2
- 2θ = 29.46°, rel. 18.5
- 2θ = 31.00°, rel. 100.0
- 2θ = 34.26°, rel. 11.6
- 2θ = 38.53°, rel. 17.3
- 2θ = 38.83°, rel. 20.5
- 2θ = 53.23°, rel. 22.7
- 2θ = 53.70°, rel. 15.9
- 2θ = 58.86°, rel. 7.3
- 2θ = 61.78°, rel. 14.8
- 2θ = 70.53°, rel. 7.1
- 2θ = 70.93°, rel. 9.2

Crystal structure
a b c (Å): 7.3337 7.3337 6.0637
angles (deg): 90.00 90.00 90.00
Space group P4/mcc (No. 124)
Inequivalent atoms, fractional coordinates:
Th1 0.1485 0.3239 0.0000
Al1 0.5000 0.5000 0.2500
Tc1 0.0000 0.0000 0.2500